For Sr2AlCu2MoO7, the PBE+U geometry in Alexandria gives the calculated powder diffractogram in this record (Cu Kα, 1.54184 Å).
Intensities are scaled so that the largest is 100.

Structure:
Cell lengths 7.5882, 23.5804, 5.3848 Å; angles 90.00, 134.06, 90.00 degrees
Space group Cm (No. 8)
Unique sites:
Sr  0.0000  0.1076  0.0000 (multiplicity 4)
Sr  0.4525  0.1100  0.9459 (multiplicity 4)
Al  0.4885  0.2508  0.0016 (multiplicity 4)
Cu  0.4815  0.3049  0.4936 (multiplicity 4)
Cu  0.4882  0.1950  0.4991 (multiplicity 4)
Mo  0.0790  0.5000  0.5204 (multiplicity 2)
Mo  0.3750  0.5000  0.3805 (multiplicity 2)
O  0.0017  0.0777  0.5164 (multiplicity 4)
O  0.0178  0.5000  0.0705 (multiplicity 2)
O  0.1605  0.3039  0.9982 (multiplicity 4)
O  0.1620  0.1956  0.3494 (multiplicity 4)
O  0.3058  0.1980  0.9960 (multiplicity 4)
O  0.3120  0.3032  0.6517 (multiplicity 4)
O  0.3981  0.5000  0.0052 (multiplicity 2)
O  0.4612  0.0782  0.4415 (multiplicity 4)

Main lines, in order of falling intensity (10 to 90 degrees two-theta):
32.83 deg, I 100, (2 0 0); 33.28 deg, I 80, (2 0 -2); 27.57 deg, I 66, (0 4 1); 38.16 deg, I 59, (0 10 0); 27.97 deg, I 54, (2 4 -1); 32.47 deg, I 48, (0 6 1); 38.69 deg, I 33, (2 8 -1); 46.96 deg, I 32, (0 0 2); 38.40 deg, I 31, (0 8 1); 51.52 deg, I 29, (2 10 -2); 62.09 deg, I 29, (0 10 2); 47.96 deg, I 22, (4 0 -2)